For Er2PaTcO8, a structure optimized by DFT (GGA-PBE) gives the theoretical PXRD pattern in this record (Cu Kα).

The 12 most intense peaks (2θ from 5° to 70°), sorted by position:
2θ 22.13, intensity 11.1
2θ 24.89, intensity 58.6
2θ 25.50, intensity 53.0
2θ 32.00, intensity 100.0
2θ 35.94, intensity 30.2
2θ 48.53, intensity 40.8
2θ 49.22, intensity 36.6
2θ 57.93, intensity 9.4
2θ 58.84, intensity 10.0
2θ 60.69, intensity 9.8
2θ 62.14, intensity 22.0
2θ 66.91, intensity 10.8

Structure:
Cell lengths 4.9995, 4.9995, 6.7490 Å; angles 90.00, 90.00, 91.36 degrees
Atoms (fractional coordinates):
Er  0.0000  0.0000  0.2420
Er  0.0000  0.0000  0.7580
Pa  0.5000  0.5000  0.5000
Tc  0.5000  0.5000  0.0000
O  0.1975  0.1975  0.5000
O  0.2229  0.2229  0.0000
O  0.3159  0.6841  0.2309
O  0.3159  0.6841  0.7691
O  0.6841  0.3159  0.2309
O  0.6841  0.3159  0.7691
O  0.7771  0.7771  0.0000
O  0.8025  0.8025  0.5000